1.
Structure and computed X-ray powder pattern of TmMgCuSe2S (a cell relaxed with PBE; CuKα).

Crystal structure
```
data_TmMgCuSe2S
_space_group_name_H-M_alt 'C m c m'
_space_group_IT_number 63
_space_group_name_Hall '-C 2c 2'
_cell_length_a 3.8047
_cell_length_b 12.5942
_cell_length_c 10.2477
_cell_angle_alpha 90.00
_cell_angle_beta 90.00
_cell_angle_gamma 90.00
loop_
_atom_site_label
_atom_site_type_symbol
_atom_site_fract_x
_atom_site_fract_y
_atom_site_fract_z
_atom_site_occupancy
Tm1 Tm 0.0000 0.0000 0.0000 1
Mg1 Mg 0.0000 0.2501 0.2500 1
Cu1 Cu 0.0000 0.4841 0.7500 1
Se1 Se 0.0000 0.3500 0.5772 1
S1 S 0.0000 0.0955 0.7500 1
```

Peak list (8 most intense, 2θ = 10–90°, by angle)
| Position (°2θ) | Rel. int. | index |
| --- | --- | --- |
| 14.1 | 69 | 0 2 0 |
| 17.3 | 23 | 0 0 2 |
| 29.8 | 24 | 0 2 3 |
| 30.1 | 38 | 1 1 2 |
| 31.7 | 41 | 1 3 0 |
| 36.4 | 100 | 1 3 2 |
| 37.9 | 24 | 0 2 4 |
| 46.8 | 44 | 1 5 2 |

---

2.
Structure and computed X-ray powder pattern of HfBePd (a cell relaxed with PBE; CuKα).

Crystal structure
```
data_HfBePd
_space_group_name_H-M_alt 'P 4/m m m'
_space_group_IT_number 123
_space_group_name_Hall '-P 4 2'
_cell_length_a 2.9657
_cell_length_b 2.9657
_cell_length_c 10.0798
_cell_angle_alpha 90.00
_cell_angle_beta 90.00
_cell_angle_gamma 90.00
loop_
_atom_site_label
_atom_site_type_symbol
_atom_site_fract_x
_atom_site_fract_y
_atom_site_fract_z
_atom_site_occupancy
Hf1 Hf 0.0000 0.0000 0.1999 1
Be1 Be 0.5000 0.5000 0.3798 1
Pd1 Pd 0.0000 0.0000 0.5000 1
Pd2 Pd 0.5000 0.5000 0.0000 1
```

Peak list (8 most intense, 2θ = 10–90°, by angle)
| Position (°2θ) | Rel. int. | index |
| --- | --- | --- |
| 26.5 | 23 | 0 0 3 |
| 30.1 | 49 | 1 0 0 |
| 35.1 | 47 | 1 0 2 |
| 40.6 | 100 | 1 0 3 |
| 43.1 | 55 | 1 1 0 |
| 62.6 | 18 | 2 0 0 |
| 73.0 | 16 | 1 0 7 |
| 77.4 | 30 | 2 1 3 |

---

3.
Structure and computed X-ray powder pattern of Zn2P2Se7 (a cell relaxed with PBE; CuKα).

Crystal structure
```
data_Zn2P2Se7
_space_group_name_H-M_alt 'C 1 2 1'
_space_group_IT_number 5
_space_group_name_Hall 'C 2y'
_cell_length_a 11.2726
_cell_length_b 5.9348
_cell_length_c 8.6920
_cell_angle_alpha 90.00
_cell_angle_beta 104.04
_cell_angle_gamma 90.00
loop_
_atom_site_label
_atom_site_type_symbol
_atom_site_fract_x
_atom_site_fract_y
_atom_site_fract_z
_atom_site_occupancy
Zn1 Zn 0.2028 0.0000 0.1514 1
P1 P 0.0816 0.9777 0.7117 1
Se1 Se 0.0000 0.2188 0.5000 1
Se2 Se 0.0520 0.7477 0.2280 1
Se3 Se 0.1323 0.2455 0.9047 1
Se4 Se 0.2357 0.8018 0.6483 1
```

Peak list (8 most intense, 2θ = 10–90°, by angle)
| Position (°2θ) | Rel. int. | index |
| --- | --- | --- |
| 17.0 | 16 | 1 1 0 |
| 28.5 | 81 | 3 1 -1 |
| 28.7 | 100 | 1 1 2 |
| 30.1 | 12 | 0 2 0 |
| 44.6 | 37 | 2 2 -3 |
| 48.4 | 35 | 4 2 1 |
| 50.0 | 14 | 2 0 4 |
| 52.5 | 15 | 3 3 -1 |

---

4.
Structure and computed X-ray powder pattern of NdCdIn (a cell relaxed with PBE; CuKα).

Crystal structure
```
data_NdCdIn
_space_group_name_H-M_alt 'I m m 2'
_space_group_IT_number 44
_space_group_name_Hall 'I 2 -2'
_cell_length_a 4.9490
_cell_length_b 8.6401
_cell_length_c 7.5297
_cell_angle_alpha 90.00
_cell_angle_beta 90.00
_cell_angle_gamma 90.00
loop_
_atom_site_label
_atom_site_type_symbol
_atom_site_fract_x
_atom_site_fract_y
_atom_site_fract_z
_atom_site_occupancy
Nd1 Nd 0.0000 0.0000 0.0000 1
Nd2 Nd 0.0000 0.0000 0.4969 1
Cd1 Cd 0.0000 0.3331 0.7158 1
In1 In 0.0000 0.3307 0.2767 1
```

Peak list (8 most intense, 2θ = 10–90°, by angle)
| Position (°2θ) | Rel. int. | index |
| --- | --- | --- |
| 31.6 | 100 | 0 2 2 |
| 36.1 | 52 | 1 3 0 |
| 36.3 | 26 | 2 0 0 |
| 48.6 | 9 | 0 4 2 |
| 48.8 | 20 | 2 2 2 |
| 61.8 | 17 | 1 3 4 |
| 62.0 | 17 | 2 0 4 |
| 62.4 | 9 | 3 1 2 |

---

5.
Structure and computed X-ray powder pattern of Tm3Te5Pt (a cell relaxed with PBE; CuKα).

Crystal structure
```
data_Tm3Te5Pt
_space_group_name_H-M_alt 'P -6 2 m'
_space_group_IT_number 189
_space_group_name_Hall 'P -6 -2'
_cell_length_a 8.6508
_cell_length_b 8.6508
_cell_length_c 3.9829
_cell_angle_alpha 90.00
_cell_angle_beta 90.00
_cell_angle_gamma 120.00
loop_
_atom_site_label
_atom_site_type_symbol
_atom_site_fract_x
_atom_site_fract_y
_atom_site_fract_z
_atom_site_occupancy
Tm1 Tm 0.0000 0.2693 0.0000 1
Te1 Te 0.0000 0.6945 0.5000 1
Te2 Te 0.3333 0.6667 0.0000 1
Pt1 Pt 0.0000 0.0000 0.5000 1
```

Peak list (8 most intense, 2θ = 10–90°, by angle)
| Position (°2θ) | Rel. int. | index |
| --- | --- | --- |
| 11.8 | 52 | 1 0 0 |
| 30.5 | 100 | 1 1 1 |
| 32.8 | 29 | 2 0 1 |
| 36.0 | 77 | 3 0 0 |
| 39.0 | 68 | 2 1 1 |
| 45.5 | 20 | 0 0 2 |
| 58.5 | 25 | 3 2 1 |
| 59.4 | 36 | 3 0 2 |

---

6.
Structure and computed X-ray powder pattern of PrSiGeW4 (a cell relaxed with PBE; CuKα).

Crystal structure
```
data_PrSiGeW4
_space_group_name_H-M_alt 'A m m 2'
_space_group_IT_number 38
_space_group_name_Hall 'A 2 -2'
_cell_length_a 4.4185
_cell_length_b 4.4860
_cell_length_c 13.5396
_cell_angle_alpha 90.00
_cell_angle_beta 90.00
_cell_angle_gamma 90.00
loop_
_atom_site_label
_atom_site_type_symbol
_atom_site_fract_x
_atom_site_fract_y
_atom_site_fract_z
_atom_site_occupancy
Pr1 Pr 0.0000 0.0000 0.0000 1
Si1 Si 0.5000 0.0000 0.5979 1
Ge1 Ge 0.5000 0.0000 0.4074 1
W1 W 0.0000 0.0000 0.2982 1
W2 W 0.0000 0.0000 0.6959 1
W3 W 0.5000 0.0000 0.1911 1
W4 W 0.5000 0.0000 0.8032 1
```

Peak list (8 most intense, 2θ = 10–90°, by angle)
| Position (°2θ) | Rel. int. | index |
| --- | --- | --- |
| 13.1 | 68 | 0 0 2 |
| 34.7 | 100 | 1 1 3 |
| 40.2 | 29 | 0 2 0 |
| 40.8 | 28 | 2 0 0 |
| 44.1 | 44 | 1 1 5 |
| 55.8 | 17 | 1 1 7 |
| 58.7 | 19 | 2 2 0 |
| 69.6 | 18 | 1 3 3 |

---

7.
Structure and computed X-ray powder pattern of TbNb2Ge2Sb (a cell relaxed with PBE; CuKα).

Crystal structure
```
data_TbNb2Ge2Sb
_space_group_name_H-M_alt 'P 4 m m'
_space_group_IT_number 99
_space_group_name_Hall 'P 4 -2'
_cell_length_a 4.0686
_cell_length_b 4.0686
_cell_length_c 7.9089
_cell_angle_alpha 90.00
_cell_angle_beta 90.00
_cell_angle_gamma 90.00
loop_
_atom_site_label
_atom_site_type_symbol
_atom_site_fract_x
_atom_site_fract_y
_atom_site_fract_z
_atom_site_occupancy
Tb1 Tb 0.0000 0.0000 0.0000 1
Nb1 Nb 0.0000 0.5000 0.3541 1
Ge1 Ge 0.0000 0.0000 0.6107 1
Ge2 Ge 0.5000 0.5000 0.1150 1
Sb1 Sb 0.5000 0.5000 0.6476 1
```

Peak list (8 most intense, 2θ = 10–90°, by angle)
| Position (°2θ) | Rel. int. | index |
| --- | --- | --- |
| 31.1 | 21 | 1 1 0 |
| 31.6 | 37 | 1 0 2 |
| 33.1 | 64 | 1 1 1 |
| 34.0 | 29 | 0 0 3 |
| 38.7 | 100 | 1 1 2 |
| 44.5 | 53 | 2 0 0 |
| 57.2 | 26 | 2 0 3 |
| 78.1 | 25 | 3 1 2 |

---

8.
Structure and computed X-ray powder pattern of Dy2Er4LuTe2Ir2 (a cell relaxed with PBE; CuKα).

Crystal structure
```
data_Dy2Er4LuTe2Ir2
_space_group_name_H-M_alt 'I m m 2'
_space_group_IT_number 44
_space_group_name_Hall 'I 2 -2'
_cell_length_a 3.9131
_cell_length_b 15.6107
_cell_length_c 9.4219
_cell_angle_alpha 90.00
_cell_angle_beta 90.00
_cell_angle_gamma 90.00
loop_
_atom_site_label
_atom_site_type_symbol
_atom_site_fract_x
_atom_site_fract_y
_atom_site_fract_z
_atom_site_occupancy
Dy1 Dy 0.0000 0.1313 0.0000 1
Er1 Er 0.0000 0.3155 0.7902 1
Er2 Er 0.0000 0.3540 0.1484 1
Lu1 Lu 0.0000 0.0000 0.4186 1
Te1 Te 0.0000 0.0000 0.7531 1
Te2 Te 0.0000 0.5000 0.6556 1
Ir1 Ir 0.0000 0.2369 0.4898 1
```

Peak list (8 most intense, 2θ = 10–90°, by angle)
| Position (°2θ) | Rel. int. | index |
| --- | --- | --- |
| 11.3 | 21 | 0 2 0 |
| 30.2 | 57 | 0 5 1 |
| 33.3 | 43 | 0 3 3 |
| 33.8 | 100 | 1 4 1 |
| 34.4 | 46 | 1 3 2 |
| 36.7 | 23 | 1 0 3 |
| 38.5 | 26 | 1 2 3 |
| 46.4 | 26 | 2 0 0 |

---

9.
Structure and computed X-ray powder pattern of Li3Tb2ErPb3 (a cell relaxed with PBE; CuKα).

Crystal structure
```
data_Li3Tb2ErPb3
_space_group_name_H-M_alt 'P -6 m 2'
_space_group_IT_number 187
_space_group_name_Hall 'P -6 2'
_cell_length_a 4.7972
_cell_length_b 4.7972
_cell_length_c 10.7954
_cell_angle_alpha 90.00
_cell_angle_beta 90.00
_cell_angle_gamma 120.00
loop_
_atom_site_label
_atom_site_type_symbol
_atom_site_fract_x
_atom_site_fract_y
_atom_site_fract_z
_atom_site_occupancy
Li1 Li 0.0000 0.0000 0.0000 1
Li2 Li 0.3333 0.6667 0.3119 1
Tb1 Tb 0.6667 0.3333 0.1662 1
Er1 Er 0.6667 0.3333 0.5000 1
Pb1 Pb 0.0000 0.0000 0.3310 1
Pb2 Pb 0.3333 0.6667 0.0000 1
```

Peak list (8 most intense, 2θ = 10–90°, by angle)
| Position (°2θ) | Rel. int. | index |
| --- | --- | --- |
| 21.4 | 13 | 1 0 0 |
| 22.9 | 43 | 1 0 1 |
| 27.1 | 31 | 1 0 2 |
| 32.9 | 100 | 1 0 3 |
| 37.5 | 66 | 1 1 0 |
| 50.7 | 39 | 0 0 6 |
| 64.8 | 56 | 1 1 6 |
| 89.3 | 25 | 3 0 6 |

---

10.
Structure and computed X-ray powder pattern of CdAg2SnSeS3 (a cell relaxed with PBE; CuKα).

Crystal structure
```
data_CdAg2SnSeS3
_space_group_name_H-M_alt 'C 1 m 1'
_space_group_IT_number 8
_space_group_name_Hall 'C -2y'
_cell_length_a 8.3645
_cell_length_b 8.2694
_cell_length_c 7.3081
_cell_angle_alpha 90.00
_cell_angle_beta 124.61
_cell_angle_gamma 90.00
loop_
_atom_site_label
_atom_site_type_symbol
_atom_site_fract_x
_atom_site_fract_y
_atom_site_fract_z
_atom_site_occupancy
Cd1 Cd 0.0000 0.0000 0.0000 1
Ag1 Ag 0.4958 0.2374 0.4829 1
Sn1 Sn 0.0077 0.5000 0.9972 1
Se1 Se 0.1337 0.0000 0.7414 1
S1 S 0.1240 0.5000 0.7554 1
S2 S 0.1265 0.2610 0.2408 1
```

Peak list (8 most intense, 2θ = 10–90°, by angle)
| Position (°2θ) | Rel. int. | index |
| --- | --- | --- |
| 25.9 | 49 | 2 0 0 |
| 26.0 | 51 | 2 0 -2 |
| 26.2 | 100 | 0 2 1 |
| 30.4 | 21 | 2 2 -1 |
| 42.9 | 42 | 2 2 1 |
| 43.1 | 41 | 2 2 -3 |
| 43.3 | 21 | 4 0 -2 |
| 50.6 | 22 | 2 0 -4 |

---

11.
Structure and computed X-ray powder pattern of Ga11Ag3 (a cell relaxed with PBE; CuKα).

Crystal structure
```
data_Ga11Ag3
_space_group_name_H-M_alt 'C 1 m 1'
_space_group_IT_number 8
_space_group_name_Hall 'C -2y'
_cell_length_a 11.7663
_cell_length_b 7.8391
_cell_length_c 6.5667
_cell_angle_alpha 90.00
_cell_angle_beta 113.16
_cell_angle_gamma 90.00
loop_
_atom_site_label
_atom_site_type_symbol
_atom_site_fract_x
_atom_site_fract_y
_atom_site_fract_z
_atom_site_occupancy
Ga1 Ga 0.0000 0.0000 0.0000 1
Ga2 Ga 0.0514 0.1938 0.4029 1
Ga3 Ga 0.0598 0.2827 0.8245 1
Ga4 Ga 0.2612 0.3112 0.6981 1
Ga5 Ga 0.2769 0.5000 0.0848 1
Ga6 Ga 0.3463 0.1704 0.1274 1
Ga7 Ga 0.3734 0.0000 0.7733 1
Ag1 Ag 0.0847 0.5000 0.2125 1
Ag2 Ag 0.2276 0.0000 0.3412 1
Ag3 Ag 0.4003 0.5000 0.5369 1
```

Peak list (8 most intense, 2θ = 10–90°, by angle)
| Position (°2θ) | Rel. int. | index |
| --- | --- | --- |
| 27.2 | 44 | 0 2 1 |
| 28.6 | 91 | 2 2 -1 |
| 35.8 | 80 | 1 1 2 |
| 36.0 | 62 | 2 2 -2 |
| 39.5 | 41 | 2 0 2 |
| 39.8 | 52 | 1 3 1 |
| 41.9 | 100 | 3 3 -1 |
| 44.3 | 50 | 4 0 -3 |

---

12.
Structure and computed X-ray powder pattern of PmAuSeO (a cell relaxed with PBE; CuKα).

Crystal structure
```
data_PmAuSeO
_space_group_name_H-M_alt 'P 1 21 1'
_space_group_IT_number 4
_space_group_name_Hall 'P 2yb'
_cell_length_a 5.8394
_cell_length_b 5.8337
_cell_length_c 11.3499
_cell_angle_alpha 90.00
_cell_angle_beta 92.34
_cell_angle_gamma 90.00
loop_
_atom_site_label
_atom_site_type_symbol
_atom_site_fract_x
_atom_site_fract_y
_atom_site_fract_z
_atom_site_occupancy
Pm1 Pm 0.0072 0.0000 0.0972 1
Pm2 Pm 0.4928 0.0004 0.9022 1
Au1 Au 0.0031 0.0240 0.7244 1
Au2 Au 0.3135 0.2773 0.5036 1
Se1 Se 0.2967 0.2282 0.2913 1
Se2 Se 0.3033 0.3224 0.7158 1
O1 O 0.2493 0.2495 0.0014 1
O2 O 0.2514 0.7494 0.9998 1
```

Peak list (8 most intense, 2θ = 10–90°, by angle)
| Position (°2θ) | Rel. int. | index |
| --- | --- | --- |
| 21.5 | 100 | 1 1 0 |
| 26.3 | 73 | 1 1 -2 |
| 27.1 | 63 | 1 1 2 |
| 31.6 | 90 | 1 1 -3 |
| 31.7 | 57 | 0 2 1 |
| 32.6 | 79 | 1 1 3 |
| 39.7 | 54 | 0 0 5 |
| 43.9 | 85 | 2 2 0 |

---

13.
Structure and computed X-ray powder pattern of DyHoC2Cl2 (a cell relaxed with PBE; CuKα).

Crystal structure
```
data_DyHoC2Cl2
_space_group_name_H-M_alt 'C 1 m 1'
_space_group_IT_number 8
_space_group_name_Hall 'C -2y'
_cell_length_a 6.9006
_cell_length_b 3.7172
_cell_length_c 10.6696
_cell_angle_alpha 90.00
_cell_angle_beta 95.58
_cell_angle_gamma 90.00
loop_
_atom_site_label
_atom_site_type_symbol
_atom_site_fract_x
_atom_site_fract_y
_atom_site_fract_z
_atom_site_occupancy
Dy1 Dy 0.0000 0.0000 0.0000 1
Ho1 Ho 0.2915 0.0000 0.2773 1
C1 C 0.0724 0.5000 0.1762 1
C2 C 0.2191 0.5000 0.1031 1
Cl1 Cl 0.3242 0.0000 0.8390 1
Cl2 Cl 0.4659 0.5000 0.4371 1
```

Peak list (8 most intense, 2θ = 10–90°, by angle)
| Position (°2θ) | Rel. int. | index |
| --- | --- | --- |
| 27.3 | 51 | 1 1 0 |
| 28.2 | 58 | 1 1 -1 |
| 29.6 | 75 | 2 0 -2 |
| 31.5 | 38 | 1 1 -2 |
| 32.8 | 100 | 1 1 2 |
| 38.3 | 57 | 1 1 3 |
| 42.9 | 37 | 1 1 -4 |
| 46.6 | 38 | 3 1 0 |

---

14.
Structure and computed X-ray powder pattern of BaCu2GeSeS3 (a cell relaxed with PBE; CuKα).

Crystal structure
```
data_BaCu2GeSeS3
_space_group_name_H-M_alt 'P 1'
_space_group_IT_number 1
_space_group_name_Hall 'P 1'
_cell_length_a 6.3226
_cell_length_b 6.3445
_cell_length_c 6.3580
_cell_angle_alpha 60.81
_cell_angle_beta 80.97
_cell_angle_gamma 61.11
loop_
_atom_site_label
_atom_site_type_symbol
_atom_site_fract_x
_atom_site_fract_y
_atom_site_fract_z
_atom_site_occupancy
Ba1 Ba 0.0000 0.0000 0.0000 1
Cu1 Cu 0.3339 0.4881 0.6647 1
Cu2 Cu 0.6709 0.4970 0.3486 1
Ge1 Ge 0.5040 0.9810 0.5131 1
Se1 Se 0.4884 0.3822 0.1617 1
S1 S 0.1734 0.9358 0.5044 1
S2 S 0.5069 0.0380 0.8368 1
S3 S 0.8408 0.6139 0.5175 1
```

Peak list (8 most intense, 2θ = 10–90°, by angle)
| Position (°2θ) | Rel. int. | index |
| --- | --- | --- |
| 17.7 | 39 | 1 1 0 |
| 24.0 | 46 | 1 0 1 |
| 28.4 | 100 | -1 1 1 |
| 28.6 | 39 | 0 1 2 |
| 29.6 | 40 | 0 1 -1 |
| 34.9 | 47 | 1 0 -2 |
| 36.8 | 44 | 0 2 0 |
| 37.8 | 49 | 2 2 2 |